Entry 1:
NaMg4Hg12: simulated powder X-ray diffraction pattern (Cu Kα), based on a GGA-PBE-relaxed structure.

Atomic structure:
Cell lengths 9.903, 9.903, 9.903 Å; angles 90.00, 90.00, 90.00 degrees
Space group Im-3 (No. 204)
Inequivalent atoms, fractional coordinates:
Na 0.000 0.000 0.000 (multiplicity 2)
Mg 0.250 0.250 0.250 (multiplicity 8)
Hg 0.000 0.152 0.348 (multiplicity 24)

Main lines, sorted by position (2θ from 10° to 80°):
two_theta	d (Å)	I_rel
12.64	7.002	11
28.50	3.131	100
33.87	2.647	29
40.75	2.214	13
42.83	2.111	10
46.78	1.942	37
53.99	1.698	12
55.69	1.650	16
63.74	1.460	16
72.73	1.300	12



Entry 2:
LaPrCu4: simulated powder X-ray diffraction pattern (Cu Kα), based on a GGA-PBE-relaxed structure.

Atomic structure:
Cell lengths 4.012, 4.012, 15.561 Å; angles 90.00, 90.00, 90.00 degrees
Space group I-4m2 (No. 119)
Inequivalent atoms, fractional coordinates:
La 0.000 0.000 0.000 (multiplicity 2)
Pr 0.000 0.500 0.250 (multiplicity 2)
Cu 0.000 0.000 0.419 (multiplicity 4)
Cu 0.000 0.500 0.670 (multiplicity 4)

Main lines, sorted by position (2θ from 10° to 80°):
two_theta	d (Å)	I_rel
28.12	3.173	31
33.63	2.665	100
36.54	2.459	56
45.20	2.006	37
46.71	1.944	31
54.09	1.696	10
59.47	1.554	26
65.85	1.418	11
67.03	1.396	21
76.00	1.252	18



Entry 3:
Sm12YTh7: simulated powder X-ray diffraction pattern (Cu Kα), based on a GGA-PBE-relaxed structure.

Atomic structure:
Cell lengths 11.555, 11.555, 11.555 Å; angles 90.00, 90.00, 90.00 degrees
Space group Im-3 (No. 204)
Inequivalent atoms, fractional coordinates:
Sm 0.000 0.229 0.302 (multiplicity 24)
Y 0.000 0.000 0.000 (multiplicity 2)
Th 0.000 0.000 0.500 (multiplicity 6)
Th 0.250 0.250 0.250 (multiplicity 8)

Main lines, sorted by position (2θ from 10° to 80°):
two_theta	d (Å)	I_rel
15.34	5.778	21
21.75	4.085	61
24.36	3.654	21
26.73	3.336	36
28.91	3.088	25
30.96	2.889	100
38.15	2.359	64
44.35	2.043	54
59.90	1.544	36
68.96	1.362	31



Entry 4:
Rb3Zn2SnF9: simulated powder X-ray diffraction pattern (Cu Kα), based on a GGA-PBE-relaxed structure.

Atomic structure:
Cell lengths 6.1456, 6.1456, 7.6410 Å; angles 90.00, 90.00, 120.00 degrees
Space group P-3m1 (No. 164)
Inequivalent atoms, fractional coordinates:
Rb 0.0000 0.0000 0.0000 (multiplicity 1)
Rb 0.3333 0.6667 0.6799 (multiplicity 2)
Zn 0.3333 0.6667 0.1522 (multiplicity 2)
Sn 0.0000 0.0000 0.5000 (multiplicity 1)
F 0.0000 0.5000 0.0000 (multiplicity 3)
F 0.1769 0.3537 0.3122 (multiplicity 6)

Main lines, sorted by position (2θ from 10° to 80°):
two_theta	d (Å)	I_rel
28.76	3.104	100
29.06	3.073	97
41.35	2.184	82
50.78	1.798	20
51.33	1.780	39
51.51	1.774	20
59.58	1.552	24
60.23	1.536	25
67.63	1.385	18
68.10	1.377	18



Entry 5:
Nd2Hg2Rh4C: simulated powder X-ray diffraction pattern (Cu Kα), based on a GGA-PBE-relaxed structure.

Atomic structure:
Cell lengths 6.158, 6.158, 8.785 Å; angles 90.00, 90.00, 90.00 degrees
Space group I4/mmm (No. 139)
Inequivalent atoms, fractional coordinates:
Nd 0.000 0.000 0.212 (multiplicity 4)
Hg 0.000 0.500 0.250 (multiplicity 4)
Rh 0.236 0.236 0.500 (multiplicity 8)
C 0.000 0.000 0.500 (multiplicity 2)

Main lines, sorted by position (2θ from 10° to 80°):
two_theta	d (Å)	I_rel
29.00	3.079	6
33.90	2.645	6
35.61	2.521	100
41.10	2.196	15
41.48	2.177	36
59.81	1.546	19
60.10	1.539	12
71.33	1.322	8
71.85	1.314	25
75.40	1.261	9